Structure and computed X-ray diffraction stick pattern of LaNd6Er12 (DFT lattice parameters and positions (PBE); λ = 1.5418 Å (Cu Kα)).
No peak broadening, texture or thermal motion is included.

Main lines, low angle first (2θ = 5–70°):
2θ = 28.93°, I 25, hkl 1 3 1; 2θ = 29.37°, I 48, hkl 1 0 4; 2θ = 31.48°, I 54, hkl 3 1 2; 2θ = 31.62°, I 61, hkl 0 3 3; 2θ = 31.99°, I 100, hkl 4 0 1; 2θ = 34.34°, I 39, hkl 0 4 2; 2θ = 34.46°, I 25, hkl 2 2 3; 2θ = 34.81°, I 21, hkl 3 2 1; 2θ = 55.48°, I 26, hkl 4 4 0; 2θ = 56.87°, I 27, hkl 4 3 4

Structure:
```
data_LaNd6Er12
_space_group_name_H-M_alt 'R -3 m'
_space_group_IT_number 166
_space_group_name_Hall '-R 3 2"'
_cell_length_a 13.2505
_cell_length_b 13.2505
_cell_length_c 12.6169
_cell_angle_alpha 90.00
_cell_angle_beta 90.00
_cell_angle_gamma 120.00
loop_
_atom_site_label
_atom_site_type_symbol
_atom_site_fract_x
_atom_site_fract_y
_atom_site_fract_z
La1 La 0.0000 0.0000 0.0000
Nd1 Nd 0.0354 0.5177 0.6182
Er1 Er 0.0000 0.2567 0.5000
Er2 Er 0.0917 0.1834 0.2644
```

***

Structure and computed X-ray diffraction stick pattern of CaCd2PdAu2 (DFT lattice parameters and positions (PBE); λ = 1.5418 Å (Cu Kα)).
No peak broadening, texture or thermal motion is included.

Main lines, low angle first (2θ = 5–70°):
2θ = 15.83°, I 100, hkl 0 0 2; 2θ = 23.35°, I 38, hkl 1 1 0; 2θ = 31.96°, I 50, hkl 0 0 4; 2θ = 33.25°, I 95, hkl 2 0 0; 2θ = 37.03°, I 52, hkl 2 0 2; 2θ = 39.96°, I 17, hkl 1 1 4; 2θ = 46.79°, I 68, hkl 2 0 4; 2θ = 47.74°, I 34, hkl 2 2 0; 2θ = 50.61°, I 21, hkl 2 2 2; 2θ = 58.61°, I 35, hkl 2 2 4

Structure:
```
data_CaCd2PdAu2
_space_group_name_H-M_alt 'I 4/m m m'
_space_group_IT_number 139
_space_group_name_Hall '-I 4 2'
_cell_length_a 5.389
_cell_length_b 5.389
_cell_length_c 11.200
_cell_angle_alpha 90.00
_cell_angle_beta 90.00
_cell_angle_gamma 90.00
loop_
_atom_site_label
_atom_site_type_symbol
_atom_site_fract_x
_atom_site_fract_y
_atom_site_fract_z
Ca1 Ca 0.000 0.000 0.000
Cd1 Cd 0.000 0.500 0.250
Pd1 Pd 0.000 0.000 0.500
Au1 Au 0.000 0.000 0.264
```